# Ho6MgCo
Theoretical X-ray powder pattern, Cu Kα (λ = 1.5418 Å). Input: a DFT-relaxed cell (PBE, Alexandria).
Neutral-atom scattering factors, no anomalous dispersion.

Cell and atoms:
```
data_Ho6MgCo
_chemical_formula_sum 'Ho6 Mg1 Co1'
_space_group_name_H-M_alt 'P -1'
_space_group_IT_number 2
_cell_length_a 6.7894
_cell_length_b 6.8114
_cell_length_c 7.2497
_cell_angle_alpha 90.18
_cell_angle_beta 117.70
_cell_angle_gamma 119.85
loop_
_space_group_symop_operation_xyz
'x,y,z'
'-x,-y,-z'
loop_
_atom_site_label
_atom_site_fract_x
_atom_site_fract_y
_atom_site_fract_z
Ho1 0.0643 0.0862 0.2598
Ho2 0.2815 0.6953 0.2589
Ho3 0.3241 0.5212 0.7407
Mg1 0.5000 0.0000 0.0000
Co1 0.5000 0.5000 0.5000
```

Top 10 peaks for 2θ = 10–90°, by intensity:
2.975 Å, intensity 1000; 3.056 Å, intensity 316; 2.962 Å, intensity 211; 5.611 Å, intensity 188; 2.277 Å, intensity 169; 1.962 Å, intensity 138; 3.407 Å, intensity 135; 1.750 Å, intensity 116; 1.747 Å, intensity 112; 2.912 Å, intensity 89

# Ho3MgCo
Theoretical X-ray powder pattern, Cu Kα (λ = 1.5418 Å). Input: a DFT-relaxed cell (PBE, Alexandria).
Neutral-atom scattering factors, no anomalous dispersion.

Cell and atoms:
```
data_Ho3MgCo
_chemical_formula_sum 'Ho12 Mg4 Co4'
_space_group_name_H-M_alt 'C m m 2'
_space_group_IT_number 35
_cell_length_a 10.1407
_cell_length_b 14.5858
_cell_length_c 3.7042
_cell_angle_alpha 90.00
_cell_angle_beta 90.00
_cell_angle_gamma 90.00
loop_
_space_group_symop_operation_xyz
'x,y,z'
'-x,-y,z'
'-x,y,z'
'x,-y,z'
'x+1/2,y+1/2,z'
'-x+1/2,-y+1/2,z'
'-x+1/2,y+1/2,z'
'x+1/2,-y+1/2,z'
loop_
_atom_site_label
_atom_site_fract_x
_atom_site_fract_y
_atom_site_fract_z
Ho1 0.0000 0.2024 0.0000
Ho2 0.2096 0.3738 0.4992
Mg1 0.0000 0.0000 0.5007
Mg2 0.0000 0.5000 0.9989
Co1 0.2500 0.2500 0.9991
```

Top 10 peaks for 2θ = 10–90°, by intensity:
2.991 Å, intensity 1000; 2.599 Å, intensity 927; 7.293 Å, intensity 860; 3.297 Å, intensity 693; 2.960 Å, intensity 621; 2.313 Å, intensity 549; 2.774 Å, intensity 528; 2.829 Å, intensity 526; 2.535 Å, intensity 387; 1.671 Å, intensity 351

# Ho12MgCo5
Theoretical X-ray powder pattern, Cu Kα (λ = 1.5418 Å). Input: a DFT-relaxed cell (PBE, Alexandria).
Neutral-atom scattering factors, no anomalous dispersion.

Cell and atoms:
```
data_Ho12MgCo5
_chemical_formula_sum 'Ho24 Mg2 Co10'
_space_group_name_H-M_alt 'I m m m'
_space_group_IT_number 71
_space_group_name_Hall '-I 2 2'
_cell_length_a 9.3844
_cell_length_b 9.4306
_cell_length_c 9.8131
_cell_angle_alpha 90.00
_cell_angle_beta 90.00
_cell_angle_gamma 90.00
loop_
_atom_site_label
_atom_site_fract_x
_atom_site_fract_y
_atom_site_fract_z
Ho1 0.0000 0.1929 0.2062
Ho2 0.1933 0.5000 0.1862
Ho3 0.2089 0.3161 0.5000
Mg1 0.0000 0.0000 0.5000
Co1 0.0000 0.0000 0.0000
Co2 0.0000 0.3778 0.0000
Co3 0.0000 0.5000 0.3874
```

Top 10 peaks for 2θ = 10–90°, by intensity:
2.753 Å, intensity 1000; 2.581 Å, intensity 578; 2.522 Å, intensity 567; 2.548 Å, intensity 469; 3.090 Å, intensity 317; 1.531 Å, intensity 302; 2.969 Å, intensity 285; 1.664 Å, intensity 277; 2.994 Å, intensity 261; 1.543 Å, intensity 236

# HoMgScCo
Theoretical X-ray powder pattern, Cu Kα (λ = 1.5418 Å). Input: a DFT-relaxed cell (PBE, Alexandria).
Neutral-atom scattering factors, no anomalous dispersion.

Cell and atoms:
```
data_HoMgScCo
_chemical_formula_sum 'Ho1 Mg1 Sc1 Co1'
_space_group_name_H-M_alt 'P 4 m m'
_space_group_IT_number 99
_cell_length_a 3.2746
_cell_length_b 3.2746
_cell_length_c 7.8828
_cell_angle_alpha 90.00
_cell_angle_beta 90.00
_cell_angle_gamma 90.00
loop_
_space_group_symop_operation_xyz
'x,y,z'
'-y,x,z'
'-x,-y,z'
'y,-x,z'
'-x,y,z'
'y,x,z'
'x,-y,z'
'-y,-x,z'
loop_
_atom_site_label
_atom_site_fract_x
_atom_site_fract_y
_atom_site_fract_z
Ho1 0.0000 0.0000 0.0000
Mg1 0.5000 0.5000 0.3172
Sc1 0.0000 0.0000 0.6024
Co1 0.5000 0.5000 0.7819
```

Top 10 peaks for 2θ = 10–90°, by intensity:
7.883 Å, intensity 1000; 2.519 Å, intensity 901; 2.315 Å, intensity 441; 3.024 Å, intensity 330; 2.049 Å, intensity 301; 1.373 Å, intensity 256; 2.222 Å, intensity 187; 3.275 Å, intensity 185; 1.637 Å, intensity 146; 1.279 Å, intensity 125